This entry pairs a crystal structure of Mn3Cr3Sb2O16 with its calculated XRD peak list. Radiation: λ = 1.5418 Å (Cu Kα). Structure: a GGA+U-relaxed structure.
Kinematic intensities with the Lorentz-polarization factor, no thermal factor.

Atomic structure:
Cell lengths 5.8925, 5.8991, 9.2425 Å; angles 89.13, 89.99, 60.08 degrees
Fractional positions:
Mn 0.0000 0.0000 0.0000
Mn 0.1664 0.1715 0.5035
Mn 0.6625 0.1714 0.5035
Cr 0.0021 0.5062 0.0067
Cr 0.4914 0.5075 0.0049
Cr 0.6616 0.6772 0.5039
Sb 0.1644 0.6718 0.2832
Sb 0.4989 0.0031 0.7826
O 0.1579 0.6813 0.8979
O 0.1635 0.1723 0.8908
O 0.3044 0.8256 0.1277
O 0.3080 0.3814 0.1330
O 0.3429 0.8674 0.6292
O 0.3491 0.3023 0.6255
O 0.4904 0.0193 0.3999
O 0.5012 0.5027 0.3900
O 0.6650 0.1719 0.8906
O 0.6663 0.6690 0.8890
O 0.7899 0.8675 0.6291
O 0.8340 0.3363 0.0913
O 0.8360 0.3284 0.6004
O 0.8700 0.8249 0.1275
O 0.9955 0.0091 0.3921
O 0.9964 0.5028 0.3901

The 8 most intense peaks (2θ from 15° to 90°), low angle first:
| 2θ/deg | intensity | index |
| --- | --- | --- |
| 19.8 | 100 | 0 1 1 |
| 20.0 | 91 | 1 0 1 |
| 33.9 | 21 | 1 1 3 |
| 35.9 | 27 | 1 2 2 |
| 36.2 | 28 | 2 1 2 |
| 36.4 | 37 | 1 2 -2 |
| 36.6 | 27 | 0 2 -1 |
| 63.0 | 27 | 2 4 0 |